Record 1
The following is a theoretical powder diffractogram of DyLu6Pd2Se2. It was derived from the PBE geometry in OQMD, using a wavelength of 1.5418 Å.
Peak positions follow from Bragg's law for the DFT cell and can differ from measured ones.

Cell and atoms:
abc: 3.8307 14.9439 9.2217
angles: 90.00 90.00 90.00
Space group Imm2 (No. 44)
Symmetry-distinct sites (fractional):
Dy 0.0000 0.0000 0.0000 x2
Lu 0.0000 0.1228 0.5890 x4
Lu 0.0000 0.3181 0.3785 x4
Lu 0.0000 0.3622 0.7467 x4
Pd 0.0000 0.2391 0.0770 x4
Se 0.0000 0.0000 0.3438 x2
Se 0.0000 0.5000 0.2401 x2

Largest 8 diffraction maxima, sorted by position, 2θ from 10° to 90°:
d_spacing	2theta	I_rel	h k l
3.037	29.41	22	1 3 0
2.891	30.93	56	1 1 2
2.843	31.47	28	0 5 1
2.616	34.28	51	0 3 3
2.569	34.93	100	1 4 1
2.536	35.39	48	1 3 2
1.915	47.47	28	2 0 0
1.730	52.93	27	0 8 2

***

Record 2
The following is a theoretical powder diffractogram of La2Ga2Pd3Pt. It was derived from the PBE geometry in OQMD, using a wavelength of 1.5418 Å.
Peak positions follow from Bragg's law for the DFT cell and can differ from measured ones.

Cell and atoms:
abc: 4.4749 4.4749 9.5953
angles: 90.00 90.00 120.00
Space group P3m1 (No. 156)
Symmetry-distinct sites (fractional):
La 0.0000 0.0000 0.0000 x1
La 0.3333 0.6667 0.4955 x1
Ga 0.6667 0.3333 0.2535 x1
Ga 0.6667 0.3333 0.7501 x1
Pd 0.0000 0.0000 0.6810 x1
Pd 0.3333 0.6667 0.1704 x1
Pd 0.3333 0.6667 0.8215 x1
Pt 0.0000 0.0000 0.3194 x1

Largest 8 diffraction maxima, sorted by position, 2θ from 10° to 90°:
d_spacing	2theta	I_rel	h k l
3.875	22.95	24	1 0 0
2.467	36.42	100	0 1 3
2.237	40.31	73	1 1 0
1.657	55.44	30	2 0 3
1.478	62.86	12	1 0 6
1.332	70.74	28	1 2 3
1.301	72.67	10	1 1 6
1.292	73.28	14	3 0 0

***

Record 3
The following is a theoretical powder diffractogram of Tm2Si2MoWC. It was derived from the PBE geometry in OQMD, using a wavelength of 1.5418 Å.
Peak positions follow from Bragg's law for the DFT cell and can differ from measured ones.

Cell and atoms:
abc: 11.0760 3.7914 7.0548
angles: 90.00 125.50 90.00
Space group Cm (No. 8)
Symmetry-distinct sites (fractional):
Tm 0.0000 0.0000 0.0000 x2
Tm 0.1480 0.0000 0.5878 x2
Si 0.2050 0.5000 0.9532 x2
Si 0.4430 0.0000 0.6355 x2
Mo 0.3671 0.0000 0.2077 x2
W 0.2810 0.5000 0.3794 x2
C 0.0750 0.5000 0.2940 x2

Largest 8 diffraction maxima, sorted by position, 2θ from 10° to 90°:
d_spacing	2theta	I_rel	h k l
3.495	25.49	21	1 1 0
2.836	31.55	48	2 0 1
2.698	33.21	21	4 0 -1
2.642	33.93	91	3 1 -1
2.514	35.72	100	1 1 -2
2.233	40.39	30	4 0 -3
1.896	47.98	36	0 2 0
1.445	64.49	22	4 2 -3

***

Record 4
The following is a theoretical powder diffractogram of AgP3S6. It was derived from the PBE geometry in OQMD, using a wavelength of 1.5418 Å.
Peak positions follow from Bragg's law for the DFT cell and can differ from measured ones.

Cell and atoms:
abc: 7.0330 11.4570 5.9187
angles: 90.00 106.66 90.00
Space group P2/c (No. 13)
Symmetry-distinct sites (fractional):
Ag 0.0000 0.0473 0.2500 x2
P 0.0000 0.3828 0.2500 x2
P 0.1655 0.2446 0.8046 x4
S 0.2173 0.2574 0.4693 x4
S 0.2335 0.3919 0.0023 x4
S 0.2839 0.0978 0.9614 x4

Largest 8 diffraction maxima, sorted by position, 2θ from 10° to 90°:
d_spacing	2theta	I_rel	h k l
6.738	13.14	100	1 0 0
5.808	15.26	17	1 1 0
3.168	28.17	19	0 3 1
2.931	30.50	24	1 0 -2
2.904	30.79	17	2 2 0
2.705	33.12	58	1 3 1
2.560	35.05	32	2 0 -2
1.753	52.18	16	1 3 -3

***

Record 5
The following is a theoretical powder diffractogram of Nb4TlSe5F. It was derived from the PBE geometry in OQMD, using a wavelength of 1.5418 Å.
Peak positions follow from Bragg's law for the DFT cell and can differ from measured ones.

Cell and atoms:
abc: 5.0772 5.0772 8.7124
angles: 90.00 90.00 90.00
Space group P4/mmm (No. 123)
Symmetry-distinct sites (fractional):
Nb 0.0000 0.0000 0.2178 x2
Nb 0.0000 0.5000 0.0000 x2
Tl 0.5000 0.5000 0.5000 x1
Se 0.0000 0.5000 0.2940 x4
Se 0.5000 0.5000 0.0000 x1
F 0.0000 0.0000 0.5000 x1

Largest 8 diffraction maxima, sorted by position, 2θ from 10° to 90°:
d_spacing	2theta	I_rel	h k l
3.306	26.97	77	1 0 2
2.539	35.36	100	2 0 0
2.258	39.93	65	1 1 3
2.178	41.46	19	0 0 4
2.014	45.02	39	2 1 2
1.795	50.87	35	2 2 0
1.653	55.60	31	2 0 4
1.405	66.55	28	3 1 3

***

Record 6
The following is a theoretical powder diffractogram of DyErNO. It was derived from the PBE geometry in OQMD, using a wavelength of 1.5418 Å.
Peak positions follow from Bragg's law for the DFT cell and can differ from measured ones.

Cell and atoms:
abc: 4.8213 3.9408 6.8400
angles: 90.00 90.00 90.00
Space group Pmma (No. 51)
Symmetry-distinct sites (fractional):
Dy 0.2500 0.0000 0.1645 x2
Er 0.2500 0.5000 0.6670 x2
N 0.2500 0.5000 0.3382 x2
O 0.2500 0.0000 0.8208 x2

Largest 8 diffraction maxima, sorted by position, 2θ from 10° to 90°:
d_spacing	2theta	I_rel	h k l
3.416	26.08	42	0 1 1
2.788	32.11	100	1 0 2
2.411	37.30	22	2 0 0
1.972	46.02	41	0 2 0
1.610	57.21	20	1 2 2
1.527	60.66	31	2 2 0
1.454	64.03	15	3 0 2
1.248	76.31	12	1 1 5

***

Record 7
The following is a theoretical powder diffractogram of Pr2GaSi. It was derived from the PBE geometry in OQMD, using a wavelength of 1.5418 Å.
Peak positions follow from Bragg's law for the DFT cell and can differ from measured ones.

Cell and atoms:
abc: 4.0806 4.4890 11.2955
angles: 90.00 90.00 90.00
Space group Amm2 (No. 38)
Symmetry-distinct sites (fractional):
Pr 0.0000 0.0000 0.0000 x2
Pr 0.5000 0.0000 0.2828 x2
Ga 0.5000 0.0000 0.5713 x2
Si 0.0000 0.0000 0.7121 x2

Largest 8 diffraction maxima, sorted by position, 2θ from 10° to 90°:
d_spacing	2theta	I_rel	h k l
3.308	26.96	39	1 0 2
2.917	30.65	100	1 1 1
2.885	31.00	53	0 1 3
2.824	31.69	26	0 0 4
2.356	38.21	41	1 1 3
2.244	40.18	25	0 2 0
2.040	44.40	19	2 0 0
1.666	55.14	21	2 1 3

***

Record 8
The following is a theoretical powder diffractogram of Nd2PbF8. It was derived from the PBE geometry in OQMD, using a wavelength of 1.5418 Å.
Peak positions follow from Bragg's law for the DFT cell and can differ from measured ones.

Cell and atoms:
abc: 5.3702 5.3702 11.3126
angles: 90.00 90.00 90.00
Space group I-4 (No. 82)
Symmetry-distinct sites (fractional):
Nd 0.0000 0.0000 0.1510 x4
Pb 0.0000 0.0000 0.5000 x2
F 0.1129 0.7019 0.9756 x8
F 0.1885 0.2106 0.3026 x8

Largest 8 diffraction maxima, sorted by position, 2θ from 10° to 90°:
d_spacing	2theta	I_rel	h k l
3.797	23.43	100	1 1 0
3.086	28.93	100	1 0 3
2.685	33.37	29	2 0 0
2.026	44.74	85	1 2 3
1.899	47.91	18	2 2 0
1.698	54.00	23	3 1 0
1.617	56.94	21	3 0 3
1.385	67.63	17	3 2 3

***

Record 9
The following is a theoretical powder diffractogram of RbLuBeS3. It was derived from the PBE geometry in OQMD, using a wavelength of 1.5418 Å.
Peak positions follow from Bragg's law for the DFT cell and can differ from measured ones.

Cell and atoms:
abc: 3.8095 14.8690 10.2365
angles: 90.00 90.00 90.00
Space group Cmcm (No. 63)
Symmetry-distinct sites (fractional):
Rb 0.0000 0.2415 0.2500 x4
Lu 0.0000 0.5000 0.0000 x4
Be 0.0000 0.0377 0.7500 x4
S 0.0000 0.1126 0.5775 x8
S 0.0000 0.4500 0.7500 x4

Largest 8 diffraction maxima, sorted by position, 2θ from 10° to 90°:
d_spacing	2theta	I_rel	h k l
7.434	11.90	62	0 2 0
4.216	21.07	100	0 2 2
3.717	23.94	29	0 4 0
3.690	24.12	27	1 1 0
3.020	29.58	46	1 3 0
2.897	30.87	30	1 3 1
2.601	34.48	29	1 3 2
2.131	42.41	33	1 5 2

***

Record 10
The following is a theoretical powder diffractogram of Th4Ni3Br2. It was derived from the PBE geometry in OQMD, using a wavelength of 1.5418 Å.
Peak positions follow from Bragg's law for the DFT cell and can differ from measured ones.

Cell and atoms:
abc: 8.5298 8.5298 3.4066
angles: 90.00 90.00 120.00
Space group P-6 (No. 174)
Symmetry-distinct sites (fractional):
Th 0.0000 0.0000 0.0000 x1
Th 0.0223 0.3907 0.0000 x3
Ni 0.2876 0.2362 0.5000 x3
Br 0.3333 0.6667 0.5000 x1
Br 0.6667 0.3333 0.0000 x1

Largest 8 diffraction maxima, sorted by position, 2θ from 10° to 90°:
d_spacing	2theta	I_rel	h k l
4.265	20.83	60	1 1 0
3.407	26.16	36	0 0 1
2.792	32.06	45	2 1 0
2.662	33.67	100	1 1 1
2.504	35.86	73	2 0 1
2.462	36.49	84	3 0 0
1.996	45.45	45	3 0 1
1.517	61.07	42	3 2 1

***

Record 11
The following is a theoretical powder diffractogram of TcB3. It was derived from the PBE geometry in OQMD, using a wavelength of 1.5418 Å.
Peak positions follow from Bragg's law for the DFT cell and can differ from measured ones.

Cell and atoms:
abc: 4.1125 2.8845 5.8558
angles: 90.00 99.70 90.00
Space group P2_1/m (No. 11)
Symmetry-distinct sites (fractional):
Tc 0.0842 0.2500 0.3133 x2
B 0.1911 0.7500 0.0479 x2
B 0.3910 0.7500 0.5503 x2
B 0.4887 0.7500 0.8788 x2

Largest 8 diffraction maxima, sorted by position, 2θ from 10° to 90°:
d_spacing	2theta	I_rel	h k l
5.772	15.35	39	0 0 1
4.054	21.93	92	1 0 0
3.082	28.97	51	1 0 1
2.580	34.77	100	0 1 1
2.564	35.00	44	1 0 -2
2.255	39.98	62	1 1 -1
2.040	44.40	27	0 1 2
1.741	52.56	38	1 1 2

***

Record 12
The following is a theoretical powder diffractogram of Er2TmZn3CuIr2. It was derived from the PBE geometry in OQMD, using a wavelength of 1.5418 Å.
Peak positions follow from Bragg's law for the DFT cell and can differ from measured ones.

Cell and atoms:
abc: 3.7831 12.3555 7.1355
angles: 90.00 90.00 90.00
Space group Amm2 (No. 38)
Symmetry-distinct sites (fractional):
Er 0.0000 0.2055 0.0000 x4
Tm 0.0000 0.0000 0.6164 x2
Zn 0.5000 0.0000 0.9584 x2
Zn 0.5000 0.1235 0.3290 x4
Cu 0.0000 0.0000 0.2056 x2
Ir 0.5000 0.1665 0.7054 x4

Largest 8 diffraction maxima, sorted by position, 2θ from 10° to 90°:
d_spacing	2theta	I_rel	h k l
6.179	14.34	25	0 1 1
2.595	34.56	100	1 3 1
2.393	37.59	78	1 4 0
2.335	38.55	35	0 1 3
2.060	43.96	31	0 6 0
1.892	48.10	21	2 0 0
1.327	71.01	21	1 1 5
1.270	74.75	24	1 9 1